Theoretical powder X-ray diffraction pattern of Mg2Cd9Sn for Cu Kα, 1.54184 Å, from a cell relaxed with GGA-PBE.
Lines closer than 0.1° are merged.

The 12 most intense peaks (5 to 70 degrees two-theta), low angle first:
d [Å], I/Imax, h k l
13.534, 3, 0 0 1
4.499, 6, 1 0 0
4.265, 2, 1 0 1
3.182, 5, 1 1 0
2.876, 2, 1 1 2
2.598, 100, 1 1 3
2.256, 16, 0 0 6
2.247, 33, 2 0 0
1.592, 21, 2 0 6
1.589, 11, 2 2 0
1.359, 11, 1 1 9
1.355, 25, 3 1 3

Unit cell a=4.494 b=4.494 c=13.534 alpha=90.00 beta=90.00 gamma=90.00
Space group P4/mmm (No. 123)
One atom of each set of equivalent atoms:
1 Mg 0.000 0.000 0.163
2 Cd 0.000 0.500 0.000
3 Cd 0.000 0.500 0.324
4 Cd 0.500 0.500 0.163
5 Cd 0.500 0.500 0.500
6 Sn 0.000 0.000 0.500